Structure and theoretical powder X-ray diffraction pattern of Rb3Tb2NpSe6 (a crystal structure in Alexandria, relaxed with PBE; Cu Kα, 1.54184 Å).
Neutral-atom scattering factors, no anomalous dispersion.

Cell and atoms:
```
Rb3Tb2NpSe6
1.0
3.7155 -6.4227 0.0000
3.7155 6.4227 0.0000
-2.4664 0.0000 7.9998
Rb Tb Np Se
3 2 1 6
direct
0.0000 0.0000 0.0000
0.3333 0.6667 0.0000
0.6667 0.3333 0.0000
0.1660 0.8340 0.5000
0.8340 0.1660 0.5000
0.5000 0.5000 0.5000
0.0979 0.4341 0.3036
0.2289 0.2289 0.6966
0.4341 0.0979 0.3036
0.5659 0.9021 0.6964
0.7711 0.7711 0.3034
0.9021 0.5659 0.6964
```

Main lines, low angle first (10 to 90 degrees two-theta):
| 2θ (°) | Rel. int. |
| --- | --- |
| 11.1 | 36.1 |
| 25.1 | 9.8 |
| 28.3 | 100.0 |
| 35.6 | 13.7 |
| 38.6 | 34.6 |
| 42.2 | 36.3 |
| 51.6 | 12.4 |
| 58.5 | 10.2 |
| 63.6 | 11.0 |
| 68.7 | 15.8 |